(1)
Structure and calculated powder diffractogram of Ba4CaZr5O15 (a crystal structure in the Materials Project, relaxed with GGA-PBE; Cu Kα).
No peak broadening, texture or thermal motion is included.

Main lines, most intense first (5 to 70 degrees two-theta):
- 2θ 29.8, rel. 100
- 2θ 53.0, rel. 40
- 2θ 42.7, rel. 33
- 2θ 62.0, rel. 20
- 2θ 36.8, rel. 5
- 2θ 9.3, rel. 4
- 2θ 13.2, rel. 2
- 2θ 23.0, rel. 1
- 2θ 28.3, rel. 1
- 2θ 24.9, rel. 1
- 2θ 18.7, rel. 1
- 2θ 34.1, rel. 1

Structural model:
```
Ba4CaZr5O15
1.0
9.466 0.000 0.000
0.000 9.466 0.000
0.000 0.000 4.235
Ba Ca Zr O
4 1 5 15
direct
0.100 0.700 0.000
0.300 0.100 0.000
0.700 0.900 0.000
0.900 0.300 0.000
0.500 0.500 0.000
0.000 0.000 0.500
0.201 0.400 0.500
0.400 0.799 0.500
0.600 0.201 0.500
0.799 0.600 0.500
0.000 0.000 0.000
0.000 0.500 0.500
0.100 0.200 0.500
0.200 0.900 0.500
0.201 0.400 0.000
0.302 0.599 0.500
0.400 0.799 0.000
0.401 0.302 0.500
0.500 0.000 0.500
0.599 0.698 0.500
0.600 0.201 0.000
0.698 0.401 0.500
0.799 0.600 0.000
0.800 0.100 0.500
0.900 0.800 0.500
```



(2)
Structure and calculated powder diffractogram of MgSnPd2 (a crystal structure in the Materials Project, relaxed with GGA-PBE; Cu Kα).
No peak broadening, texture or thermal motion is included.

Main lines, most intense first (5 to 70 degrees two-theta):
- 2θ 39.2, rel. 100
- 2θ 56.6, rel. 17
- 2θ 23.7, rel. 17
- 2θ 46.3, rel. 9
- 2θ 27.4, rel. 5
- 2θ 62.2, rel. 4
- 2θ 64.0, rel. 1
- 2θ 48.5, rel. 1

Structural model:
```
MgSnPd2
1.0
0.000 3.254 3.254
3.254 0.000 3.254
3.254 3.254 0.000
Mg Sn Pd
1 1 2
direct
0.000 0.000 0.000
0.500 0.500 0.500
0.250 0.250 0.250
0.750 0.750 0.750
```



(3)
Structure and calculated powder diffractogram of Mg14MnSi (a crystal structure in the Materials Project, relaxed with GGA-PBE; Cu Kα).
No peak broadening, texture or thermal motion is included.

Main lines, most intense first (5 to 70 degrees two-theta):
- 2θ 37.8, rel. 100
- 2θ 35.4, rel. 26
- 2θ 33.3, rel. 25
- 2θ 65.1, rel. 18
- 2θ 59.4, rel. 17
- 2θ 49.3, rel. 15
- 2θ 8.7, rel. 9
- 2θ 18.6, rel. 4
- 2θ 16.5, rel. 3
- 2θ 69.9, rel. 3
- 2θ 24.1, rel. 2
- 2θ 42.9, rel. 2

Structural model:
```
Mg14MnSi
1.0
10.155 0.000 0.000
0.000 3.109 5.388
0.000 -3.109 5.388
Mg Mn Si
14 1 1
direct
0.000 0.000 0.000
0.000 0.002 0.501
0.000 0.499 0.499
0.000 0.501 0.002
0.254 0.665 0.665
0.255 0.165 0.165
0.264 0.170 0.670
0.264 0.670 0.170
0.500 0.499 0.996
0.500 0.996 0.499
0.736 0.170 0.670
0.736 0.670 0.170
0.745 0.165 0.165
0.746 0.665 0.665
0.500 0.503 0.503
0.500 0.004 0.004
```



(4)
Structure and calculated powder diffractogram of Sr6ZnRu2O12 (a crystal structure in the Materials Project, relaxed with GGA-PBE; Cu Kα).
No peak broadening, texture or thermal motion is included.

Main lines, most intense first (5 to 70 degrees two-theta):
- 2θ 30.9, rel. 100
- 2θ 32.1, rel. 66
- 2θ 56.5, rel. 35
- 2θ 46.1, rel. 35
- 2θ 54.1, rel. 19
- 2θ 64.3, rel. 17
- 2θ 42.3, rel. 17
- 2θ 13.8, rel. 16
- 2θ 42.1, rel. 14
- 2θ 67.2, rel. 10
- 2θ 43.0, rel. 10
- 2θ 64.1, rel. 7

Structural model:
```
Sr6ZnRu2O12
1.0
8.359 -2.785 0.000
8.359 2.785 0.000
-2.784 0.000 6.405
Sr Zn Ru O
6 1 2 12
direct
0.048 0.048 0.285
0.292 0.292 0.705
0.389 0.389 0.295
0.611 0.611 0.705
0.708 0.708 0.295
0.952 0.952 0.715
0.500 0.500 0.000
0.170 0.170 0.999
0.830 0.830 0.001
0.000 0.500 0.000
0.114 0.114 0.679
0.151 0.672 0.999
0.221 0.221 0.322
0.328 0.849 0.001
0.444 0.444 0.670
0.500 0.000 0.000
0.556 0.556 0.330
0.672 0.151 0.999
0.779 0.779 0.678
0.849 0.328 0.001
0.886 0.886 0.321
```



(5)
Structure and calculated powder diffractogram of CaGeO3 (a crystal structure in the Materials Project, relaxed with GGA-PBE; Cu Kα).
No peak broadening, texture or thermal motion is included.

Main lines, most intense first (5 to 70 degrees two-theta):
- 2θ 33.5, rel. 100
- 2θ 48.1, rel. 45
- 2θ 59.9, rel. 37
- 2θ 23.5, rel. 31
- 2θ 54.2, rel. 12
- 2θ 41.3, rel. 1

Structural model:
```
CaGeO3
1.0
3.783 0.000 0.000
0.000 3.783 0.000
0.000 0.000 3.783
Ca Ge O
1 1 3
direct
0.000 0.000 0.000
0.500 0.500 0.500
0.000 0.500 0.500
0.500 0.000 0.500
0.500 0.500 0.000
```



(6)
Structure and calculated powder diffractogram of AuCN3Cl4 (a crystal structure in the Materials Project, relaxed with GGA-PBE; Cu Kα).
No peak broadening, texture or thermal motion is included.

Main lines, most intense first (5 to 70 degrees two-theta):
- 2θ 11.4, rel. 100
- 2θ 11.7, rel. 95
- 2θ 22.8, rel. 82
- 2θ 22.6, rel. 57
- 2θ 15.7, rel. 48
- 2θ 17.0, rel. 42
- 2θ 28.0, rel. 30
- 2θ 28.6, rel. 25
- 2θ 35.7, rel. 22
- 2θ 23.6, rel. 21
- 2θ 37.5, rel. 20
- 2θ 36.7, rel. 19

Structural model:
```
AuCN3Cl4
1.0
15.606 0.000 0.000
0.000 4.206 0.000
-1.198 0.000 15.070
Au C N Cl
4 4 12 16
direct
0.000 0.000 0.000
0.000 0.500 0.500
0.500 0.000 0.500
0.500 0.500 0.000
0.250 0.233 0.740
0.250 0.267 0.240
0.750 0.733 0.760
0.750 0.767 0.260
0.178 0.203 0.281
0.178 0.297 0.781
0.256 0.177 0.154
0.256 0.323 0.654
0.317 0.081 0.784
0.317 0.419 0.284
0.683 0.581 0.716
0.683 0.919 0.216
0.744 0.677 0.346
0.744 0.823 0.846
0.822 0.703 0.219
0.822 0.797 0.719
0.024 0.711 0.640
0.024 0.789 0.140
0.137 0.654 0.472
0.137 0.846 0.972
0.355 0.604 0.987
0.355 0.896 0.487
0.489 0.211 0.639
0.489 0.289 0.139
0.511 0.711 0.861
0.511 0.789 0.361
0.645 0.104 0.513
0.645 0.396 0.013
0.863 0.154 0.028
0.863 0.346 0.528
0.976 0.211 0.860
0.976 0.289 0.360
```